# KMg6Tl4
Simulated X-ray diffraction stick pattern, CuKα. Input: the GGA-PBE geometry in Alexandria.

Crystal structure
```
data_KMg6Tl4
_space_group_name_H-M_alt 'P -6 m 2'
_space_group_IT_number 187
_space_group_name_Hall 'P -6 2'
_cell_length_a 8.6261
_cell_length_b 8.6261
_cell_length_c 4.5963
_cell_angle_alpha 90.00
_cell_angle_beta 90.00
_cell_angle_gamma 120.00
loop_
_atom_site_label
_atom_site_type_symbol
_atom_site_fract_x
_atom_site_fract_y
_atom_site_fract_z
_atom_site_occupancy
K1 K 0.0000 0.0000 0.0000 1
Mg1 Mg 0.2070 0.4139 0.5000 1
Mg2 Mg 0.5330 0.0661 0.0000 1
Tl1 Tl 0.3333 0.6667 0.0000 1
Tl2 Tl 0.3902 0.1951 0.5000 1
```

Main lines, by angle (10 to 90 degrees two-theta):
2θ (°)	intensity	index
22.7	732	1 0 1
23.8	1000	2 0 0
28.4	458	1 1 1
30.8	379	2 0 1
31.7	251	2 1 0
37.4	733	2 1 1
41.2	446	3 0 1
41.9	276	2 2 0
46.4	354	2 0 2
57.4	240	3 2 1

=====

# V2Co3Pt2
Simulated X-ray diffraction stick pattern, CuKα. Input: the GGA-PBE geometry in Alexandria.

Crystal structure
```
data_V2Co3Pt2
_space_group_name_H-M_alt 'R -3 m'
_space_group_IT_number 166
_space_group_name_Hall '-R 3 2"'
_cell_length_a 4.0639
_cell_length_b 4.0639
_cell_length_c 19.4691
_cell_angle_alpha 90.00
_cell_angle_beta 90.00
_cell_angle_gamma 120.00
loop_
_atom_site_label
_atom_site_type_symbol
_atom_site_fract_x
_atom_site_fract_y
_atom_site_fract_z
_atom_site_occupancy
V1 V 0.0000 0.0000 0.1110 1
Co1 Co 0.0000 0.0000 0.2335 1
Co2 Co 0.0000 0.0000 0.5000 1
Pt1 Pt 0.0000 0.0000 0.3704 1
```

Main lines, by angle (10 to 90 degrees two-theta):
2θ (°)	intensity	index
13.6	252	0 0 3
25.7	532	1 0 1
31.4	524	1 0 4
41.4	558	1 0 7
44.6	1000	1 1 0
45.3	757	0 1 8
62.5	163	0 2 7
65.5	246	2 0 8
82.7	254	1 2 8
89.6	214	1 1 15

=====

# BHS4
Simulated X-ray diffraction stick pattern, CuKα. Input: the GGA-PBE geometry in Alexandria.

Crystal structure
```
data_BHS4
_space_group_name_H-M_alt 'P -1'
_space_group_IT_number 2
_cell_length_a 4.7272
_cell_length_b 4.9719
_cell_length_c 13.0266
_cell_angle_alpha 94.27
_cell_angle_beta 99.13
_cell_angle_gamma 110.22
loop_
_space_group_symop_operation_xyz
'x,y,z'
'-x,-y,-z'
loop_
_atom_site_label
_atom_site_type_symbol
_atom_site_fract_x
_atom_site_fract_y
_atom_site_fract_z
_atom_site_occupancy
B1 B 0.0083 0.2561 0.0141 1
H1 H 0.3830 0.8751 0.3635 1
S1 S 0.1053 0.1943 0.5567 1
S2 S 0.1690 0.5125 0.9150 1
S3 S 0.2678 0.0783 0.0845 1
S4 S 0.3466 0.0633 0.6723 1
```

Main lines, by angle (10 to 90 degrees two-theta):
2θ (°)	intensity	index
13.9	1000	0 0 2
19.2	302	0 1 0
19.5	345	0 1 -1
22.4	955	1 0 -2
25.3	345	0 1 2
25.7	694	-1 1 2
31.8	492	1 -1 3
33.1	255	1 1 -2
38.6	262	1 1 2
39.0	265	1 1 -4